Structure and theoretical X-ray diffraction stick pattern of RbCo2SiF (a structure optimized by DFT (GGA+U); Cu Kα (λ = 1.5418 Å)).

Crystal structure
```
data_RbCo2SiF
_cell_length_a 4.282
_cell_length_b 4.282
_cell_length_c 5.806
_cell_angle_alpha 90.00
_cell_angle_beta 90.00
_cell_angle_gamma 90.00
_space_group_name_H-M_alt 'P 4/m m m'
_space_group_IT_number 123
_space_group_name_Hall '-P 4 2'
loop_
_atom_site_label
_atom_site_fract_x
_atom_site_fract_y
_atom_site_fract_z
Rb1 0.000 0.000 0.000
Co1 0.000 0.500 0.500
Si1 0.500 0.500 0.500
F1 0.500 0.500 0.000
```

Largest 6 diffraction maxima, low angle first, 2θ = 10–80°:
2θ/deg	d_spacing	intensity
25.85	3.446	43
30.80	2.903	51
33.38	2.685	100
42.21	2.141	42
53.16	1.723	40
56.43	1.631	20